Theoretical X-ray diffraction stick pattern
Compound: Li3In4Pb
Radiation: a wavelength of 1.5418 Å
Structure: a cell relaxed with PBE
Neutral-atom scattering factors, no anomalous dispersion.

Principal peaks in the range 2θ from 15° to 90°, most intense first:
- 27.7°, d 3.226, rel. 100, (1 0 0)
- 21.7°, d 4.086, rel. 73, (0 1 -1)
- 22.0°, d 4.044, rel. 70, (0 1 2)
- 38.4°, d 2.343, rel. 59, (0 2 1)
- 34.4°, d 2.608, rel. 58, (1 -1 1)
- 31.7°, d 2.821, rel. 53, (0 1 -3)
- 32.1°, d 2.789, rel. 52, (0 1 4)
- 40.4°, d 2.233, rel. 49, (1 -1 3)
- 36.7°, d 2.450, rel. 40, (0 0 5)
- 43.2°, d 2.095, rel. 31, (1 0 -4)

Cell and atoms:
```
data_Li3In4Pb
_chemical_formula_sum 'Li3 In4 Pb1'
_cell_length_a 3.2544
_cell_length_b 4.6867
_cell_length_c 12.5470
_cell_angle_alpha 79.89
_cell_angle_beta 82.88
_cell_angle_gamma 89.73
_space_group_name_H-M_alt 'P -1'
_space_group_IT_number 2
loop_
_space_group_symop_operation_xyz
'x,y,z'
'-x,-y,-z'
loop_
_atom_site_label
_atom_site_type_symbol
_atom_site_fract_x
_atom_site_fract_y
_atom_site_fract_z
Li1 Li 0.0000 0.0000 0.0000
Li2 Li 0.1454 0.6474 0.7031
In1 In 0.2827 0.7781 0.4398
In2 In 0.4025 0.9009 0.1968
Pb1 Pb 0.5000 0.5000 0.0000
```

***

Theoretical X-ray diffraction stick pattern
Compound: La4Nd2Sb3H2
Radiation: a wavelength of 1.5418 Å
Structure: a cell relaxed with PBE
Neutral-atom scattering factors, no anomalous dispersion.

Principal peaks in the range 2θ from 15° to 90°, most intense first:
- 33.4°, d 2.686, rel. 100, (1 1 6)
- 37.3°, d 2.413, rel. 56, (2 0 0)
- 27.0°, d 3.301, rel. 51, (1 1 2)
- 64.7°, d 1.440, rel. 29, (3 1 6)
- 29.5°, d 3.024, rel. 25, (1 1 4)
- 30.3°, d 2.952, rel. 21, (1 0 7)
- 53.7°, d 1.706, rel. 19, (2 2 0)
- 51.6°, d 1.772, rel. 15, (2 0 10)
- 27.3°, d 3.266, rel. 15, (0 0 8)
- 46.8°, d 1.941, rel. 13, (2 0 8)

Cell and atoms:
```
data_La4Nd2Sb3H2
_chemical_formula_sum 'La8 Nd4 Sb6 H4'
_cell_length_a 4.8253
_cell_length_b 4.8253
_cell_length_c 26.1252
_cell_angle_alpha 90.00
_cell_angle_beta 90.00
_cell_angle_gamma 90.00
_space_group_name_H-M_alt 'I 4/m m m'
_space_group_IT_number 139
_space_group_name_Hall '-I 4 2'
loop_
_atom_site_label
_atom_site_type_symbol
_atom_site_fract_x
_atom_site_fract_y
_atom_site_fract_z
La1 La 0.0000 0.5000 0.0836
Nd1 Nd 0.0000 0.0000 0.2008
Sb1 Sb 0.0000 0.0000 0.3242
Sb2 Sb 0.0000 0.0000 0.5000
H1 H 0.0000 0.0000 0.1073
```

***

Theoretical X-ray diffraction stick pattern
Compound: Pr8Bi4Sb3Te
Radiation: a wavelength of 1.5418 Å
Structure: a cell relaxed with PBE
Neutral-atom scattering factors, no anomalous dispersion.

Principal peaks in the range 2θ from 15° to 90°, most intense first:
- 27.4°, d 3.251, rel. 100, (0 2 4)
- 39.2°, d 2.298, rel. 78, (2 2 0)
- 64.1°, d 1.454, rel. 37, (2 4 4)
- 48.5°, d 1.877, rel. 28, (4 0 4)
- 71.0°, d 1.327, rel. 27, (6 0 0)
- 56.6°, d 1.625, rel. 13, (0 4 8)
- 84.3°, d 1.149, rel. 9, (4 4 0)
- 22.7°, d 3.920, rel. 3, (0 2 1)
- 30.0°, d 2.983, rel. 2, (2 0 5)
- 54.2°, d 1.693, rel. 1, (2 2 9)

Cell and atoms:
```
data_Pr8Bi4Sb3Te
_chemical_formula_sum 'Pr24 Bi12 Sb9 Te3'
_cell_length_a 9.1942
_cell_length_b 9.1942
_cell_length_c 22.5192
_cell_angle_alpha 90.00
_cell_angle_beta 90.00
_cell_angle_gamma 120.00
_space_group_name_H-M_alt 'R -3 m'
_space_group_IT_number 166
_space_group_name_Hall '-R 3 2"'
loop_
_atom_site_label
_atom_site_type_symbol
_atom_site_fract_x
_atom_site_fract_y
_atom_site_fract_z
Pr1 Pr 0.0000 0.0000 0.2481
Pr2 Pr 0.0037 0.5018 0.7511
Bi1 Bi 0.0000 0.0000 0.0000
Bi2 Bi 0.0000 0.5000 0.0000
Sb1 Sb 0.0000 0.5000 0.5000
Te1 Te 0.0000 0.0000 0.5000
```

***

Theoretical X-ray diffraction stick pattern
Compound: NaHg12Pd5
Radiation: a wavelength of 1.5418 Å
Structure: a cell relaxed with PBE
Neutral-atom scattering factors, no anomalous dispersion.

Principal peaks in the range 2θ from 15° to 90°, most intense first:
- 33.9°, d 2.645, rel. 100, (2 2 2)
- 34.3°, d 2.616, rel. 79, (1 2 3)
- 38.8°, d 2.320, rel. 73, (3 2 1)
- 37.6°, d 2.391, rel. 69, (3 1 2)
- 40.7°, d 2.219, rel. 44, (0 4 0)
- 40.4°, d 2.232, rel. 41, (2 0 4)
- 64.5°, d 1.444, rel. 35, (3 5 2)
- 26.3°, d 3.391, rel. 34, (0 2 2)
- 27.6°, d 3.237, rel. 31, (1 0 3)
- 39.9°, d 2.261, rel. 30, (0 3 3)

Cell and atoms:
```
data_NaHg12Pd5
_chemical_formula_sum 'Na2 Hg24 Pd10'
_cell_length_a 8.4520
_cell_length_b 8.8772
_cell_length_c 10.5139
_cell_angle_alpha 90.00
_cell_angle_beta 90.00
_cell_angle_gamma 90.00
_space_group_name_H-M_alt 'I m m m'
_space_group_IT_number 71
_space_group_name_Hall '-I 2 2'
loop_
_atom_site_label
_atom_site_type_symbol
_atom_site_fract_x
_atom_site_fract_y
_atom_site_fract_z
Na1 Na 0.0000 0.0000 0.0000
Hg1 Hg 0.0000 0.2884 0.1681
Hg2 Hg 0.1822 0.2803 0.5000
Hg3 Hg 0.1875 0.0000 0.2603
Pd1 Pd 0.0000 0.0000 0.5000
Pd2 Pd 0.0000 0.5000 0.3649
Pd3 Pd 0.1648 0.5000 0.0000
```